1.
The following is a simulated powder diffractogram of TiMnO3. It was derived from a structure optimized by DFT (GGA+U), using Cu Kα (weighted mean of Kα1 and Kα2).
Intensities are scaled so that the largest is 1000.

Atomic structure:
```
data_TiMnO3
_chemical_formula_sum 'Ti2 Mn2 O6'
_cell_length_a 3.1024
_cell_length_b 5.7205
_cell_length_c 5.9607
_cell_angle_alpha 74.06
_cell_angle_beta 76.55
_cell_angle_gamma 86.73
_space_group_name_H-M_alt 'P -1'
_space_group_IT_number 2
loop_
_space_group_symop_operation_xyz
'x,y,z'
'-x,-y,-z'
loop_
_atom_site_label
_atom_site_type_symbol
_atom_site_fract_x
_atom_site_fract_y
_atom_site_fract_z
Ti1 Ti 0.1359 0.4136 0.2660
Mn1 Mn 0.2476 0.0633 0.8668
O1 O 0.0052 0.2886 0.6104
O2 O 0.3052 0.3753 0.9122
O3 O 0.3426 0.8161 0.7231
```

Principal peaks in the range 2θ from 10° to 90°, sorted by position:
| hkl | Position (°2θ) | d_spacing | I (rel.) |
| --- | --- | --- | --- |
| 0 0 1 | 15.87 | 5.583 | 799 |
| 0 0 2 | 32.06 | 2.792 | 461 |
| 0 2 1 | 32.18 | 2.782 | 946 |
| 1 1 1 | 32.49 | 2.756 | 583 |
| 1 1 0 | 33.99 | 2.637 | 557 |
| 1 -1 1 | 36.47 | 2.463 | 1000 |

2.
The following is a simulated powder diffractogram of Li2FeB2O6. It was derived from a structure optimized by DFT (GGA+U), using Cu Kα (weighted mean of Kα1 and Kα2).
Intensities are scaled so that the largest is 1000.

Atomic structure:
```
data_Li2FeB2O6
_chemical_formula_sum 'Li6 Fe3 B6 O18'
_cell_length_a 4.7451
_cell_length_b 4.7451
_cell_length_c 15.6323
_cell_angle_alpha 90.00
_cell_angle_beta 90.00
_cell_angle_gamma 120.00
_space_group_name_H-M_alt 'R -3'
_space_group_IT_number 148
_space_group_name_Hall '-R 3'
loop_
_atom_site_label
_atom_site_type_symbol
_atom_site_fract_x
_atom_site_fract_y
_atom_site_fract_z
Li1 Li 0.0000 0.0000 0.1926
Fe1 Fe 0.0000 0.0000 0.0000
B1 B 0.0000 0.0000 0.4099
O1 O 0.0286 0.3916 0.2544
```

Principal peaks in the range 2θ from 10° to 90°, sorted by position:
| hkl | Position (°2θ) | d_spacing | I (rel.) |
| --- | --- | --- | --- |
| 0 0 3 | 17.02 | 5.211 | 543 |
| 1 0 1 | 22.37 | 3.974 | 298 |
| 0 1 2 | 24.47 | 3.637 | 1000 |
| 0 1 5 | 36.10 | 2.488 | 590 |
| 1 1 3 | 41.84 | 2.159 | 646 |
| 1 1 6 | 52.14 | 1.754 | 345 |

3.
The following is a simulated powder diffractogram of ZnCoF5. It was derived from a structure optimized by DFT (GGA+U), using Cu Kα (weighted mean of Kα1 and Kα2).
Intensities are scaled so that the largest is 1000.

Atomic structure:
```
data_ZnCoF5
_chemical_formula_sum 'Zn4 Co4 F20'
_cell_length_a 5.2195
_cell_length_b 9.6643
_cell_length_c 7.4331
_cell_angle_alpha 90.00
_cell_angle_beta 110.39
_cell_angle_gamma 90.00
_space_group_name_H-M_alt 'P 1 21/c 1'
_space_group_IT_number 14
loop_
_space_group_symop_operation_xyz
'x,y,z'
'-x,-y,-z'
'-x,y+1/2,-z+1/2'
'x,-y+1/2,z+1/2'
loop_
_atom_site_label
_atom_site_type_symbol
_atom_site_fract_x
_atom_site_fract_y
_atom_site_fract_z
Zn1 Zn 0.0213 0.0109 0.2569
Co1 Co 0.4012 0.2470 0.6020
F1 F 0.1053 0.1138 0.5669
F2 F 0.1465 0.1101 0.9943
F3 F 0.2904 0.6347 0.3498
F4 F 0.3426 0.1862 0.3369
F5 F 0.3560 0.6008 0.8015
```

Principal peaks in the range 2θ from 10° to 90°, sorted by position:
| hkl | Position (°2θ) | d_spacing | I (rel.) |
| --- | --- | --- | --- |
| 1 1 0 | 20.35 | 4.365 | 253 |
| 1 2 0 | 25.92 | 3.438 | 1000 |
| 0 1 2 | 27.21 | 3.277 | 289 |
| 1 1 -2 | 27.34 | 3.262 | 259 |
| 0 2 2 | 31.66 | 2.826 | 224 |
| 2 4 -2 | 53.33 | 1.718 | 256 |

4.
The following is a simulated powder diffractogram of MgMnP2O7. It was derived from a structure optimized by DFT (GGA+U), using Cu Kα (weighted mean of Kα1 and Kα2).
Intensities are scaled so that the largest is 1000.

Atomic structure:
```
data_MgMnP2O7
_chemical_formula_sum 'Mg4 Mn4 P8 O28'
_cell_length_a 7.1177
_cell_length_b 8.5671
_cell_length_c 9.2490
_cell_angle_alpha 90.00
_cell_angle_beta 112.84
_cell_angle_gamma 90.00
_space_group_name_H-M_alt 'P 1 21/c 1'
_space_group_IT_number 14
loop_
_space_group_symop_operation_xyz
'x,y,z'
'-x,-y,-z'
'-x,y+1/2,-z+1/2'
'x,-y+1/2,z+1/2'
loop_
_atom_site_label
_atom_site_type_symbol
_atom_site_fract_x
_atom_site_fract_y
_atom_site_fract_z
Mg1 Mg 0.1980 0.0600 0.3189
Mn1 Mn 0.2638 0.0696 0.8908
P1 P 0.0323 0.7237 0.9687
P2 P 0.4381 0.7354 0.2572
O1 O 0.0060 0.0906 0.6504
O2 O 0.0417 0.6160 0.3955
O3 O 0.1216 0.2271 0.4514
O4 O 0.2496 0.6782 0.1001
O5 O 0.3815 0.2380 0.2961
O6 O 0.3851 0.6096 0.8088
O7 O 0.4705 0.6030 0.3773
```

Principal peaks in the range 2θ from 10° to 90°, sorted by position:
| hkl | Position (°2θ) | d_spacing | I (rel.) |
| --- | --- | --- | --- |
| 1 1 -1 | 17.00 | 5.216 | 150 |
| 1 2 -2 | 28.94 | 3.085 | 670 |
| 1 0 2 | 29.08 | 3.070 | 1000 |
| 2 2 0 | 34.44 | 2.604 | 150 |
| 2 3 -2 | 41.90 | 2.156 | 178 |
| 3 3 -4 | 57.19 | 1.611 | 142 |

5.
The following is a simulated powder diffractogram of K2W2O7. It was derived from a structure optimized by DFT (GGA+U), using Cu Kα (weighted mean of Kα1 and Kα2).
Intensities are scaled so that the largest is 1000.

Atomic structure:
```
data_K2W2O7
_chemical_formula_sum 'K4 W4 O14'
_cell_length_a 3.8886
_cell_length_b 14.0968
_cell_length_c 6.1976
_cell_angle_alpha 90.00
_cell_angle_beta 90.06
_cell_angle_gamma 90.00
_space_group_name_H-M_alt 'P 1 21/c 1'
_space_group_IT_number 14
loop_
_space_group_symop_operation_xyz
'x,y,z'
'-x,-y,-z'
'-x,y+1/2,-z+1/2'
'x,-y+1/2,z+1/2'
loop_
_atom_site_label
_atom_site_type_symbol
_atom_site_fract_x
_atom_site_fract_y
_atom_site_fract_z
K1 K 0.0080 0.1706 0.3274
W1 W 0.4934 0.5636 0.7162
O1 O 0.0030 0.0530 0.7762
O2 O 0.4961 0.6856 0.8064
O3 O 0.4982 0.5812 0.4112
O4 O 0.5000 0.0000 0.5000
```

Principal peaks in the range 2θ from 10° to 90°, sorted by position:
| hkl | Position (°2θ) | d_spacing | I (rel.) |
| --- | --- | --- | --- |
| 0 2 0 | 12.56 | 7.048 | 1000 |
| 0 2 1 | 19.07 | 4.654 | 630 |
| 1 0 0 | 22.87 | 3.889 | 463 |
| 1 2 0 | 26.17 | 3.405 | 481 |
| 0 4 1 | 29.15 | 3.064 | 760 |
| 1 2 -1 | 29.94 | 2.984 | 788 |

6.
The following is a simulated powder diffractogram of Ca3Co2Si4O14. It was derived from a structure optimized by DFT (GGA+U), using Cu Kα (weighted mean of Kα1 and Kα2).
Intensities are scaled so that the largest is 1000.

Atomic structure:
```
data_Ca3Co2Si4O14
_chemical_formula_sum 'Ca6 Co4 Si8 O28'
_cell_length_a 11.1114
_cell_length_b 11.0477
_cell_length_c 5.1222
_cell_angle_alpha 90.00
_cell_angle_beta 93.30
_cell_angle_gamma 90.00
_space_group_name_H-M_alt 'C 1 m 1'
_space_group_IT_number 8
loop_
_space_group_symop_operation_xyz
'x,y,z'
'x,-y,z'
'x+1/2,y+1/2,z'
'x+1/2,-y+1/2,z'
loop_
_atom_site_label
_atom_site_type_symbol
_atom_site_fract_x
_atom_site_fract_y
_atom_site_fract_z
Ca1 Ca 0.0000 0.0000 0.0000
Ca2 Ca 0.3570 0.1647 0.0260
Co1 Co 0.1028 0.2526 0.5203
Si1 Si 0.2070 0.0000 0.5704
Si2 Si 0.3546 0.3586 0.4675
Si3 Si 0.4847 0.0000 0.5726
O1 O 0.0431 0.3772 0.7093
O2 O 0.1513 0.1178 0.7244
O3 O 0.1950 0.0000 0.2588
O4 O 0.2383 0.2829 0.3339
O5 O 0.3485 0.0000 0.7063
O6 O 0.3507 0.5000 0.3591
O7 O 0.3743 0.3475 0.7782
O8 O 0.4629 0.0000 0.2598
O9 O 0.4688 0.3017 0.3065
```

Principal peaks in the range 2θ from 10° to 90°, sorted by position:
| hkl | Position (°2θ) | d_spacing | I (rel.) |
| --- | --- | --- | --- |
| 0 0 1 | 17.34 | 5.114 | 1000 |
| 2 2 -1 | 28.14 | 3.171 | 617 |
| 3 1 -1 | 30.11 | 2.968 | 643 |
| 1 3 -1 | 30.72 | 2.910 | 628 |
| 1 3 1 | 31.26 | 2.861 | 637 |
| 4 2 0 | 36.28 | 2.476 | 838 |

7.
The following is a simulated powder diffractogram of V2ZnO6. It was derived from a structure optimized by DFT (GGA+U), using Cu Kα (weighted mean of Kα1 and Kα2).
Intensities are scaled so that the largest is 1000.

Atomic structure:
```
data_V2ZnO6
_chemical_formula_sum 'V4 Zn2 O12'
_cell_length_a 9.3966
_cell_length_b 3.5791
_cell_length_c 6.6601
_cell_angle_alpha 90.00
_cell_angle_beta 111.20
_cell_angle_gamma 90.00
_space_group_name_H-M_alt 'C 1 2 1'
_space_group_IT_number 5
loop_
_space_group_symop_operation_xyz
'x,y,z'
'-x,y,-z'
'x+1/2,y+1/2,z'
'-x+1/2,y+1/2,-z'
loop_
_atom_site_label
_atom_site_type_symbol
_atom_site_fract_x
_atom_site_fract_y
_atom_site_fract_z
V1 V 0.1914 0.0000 0.1523
Zn1 Zn 0.0000 0.0162 0.5000
O1 O 0.0323 0.0010 0.2215
O2 O 0.1568 0.4967 0.6126
O3 O 0.1944 0.4999 0.0665
```

Principal peaks in the range 2θ from 10° to 90°, sorted by position:
| hkl | Position (°2θ) | d_spacing | I (rel.) |
| --- | --- | --- | --- |
| 1 1 0 | 26.91 | 3.313 | 905 |
| 2 0 -2 | 28.60 | 3.121 | 847 |
| 2 0 1 | 28.88 | 3.091 | 1000 |
| 1 1 1 | 32.32 | 2.770 | 768 |
| 3 1 -1 | 38.33 | 2.348 | 567 |
| 0 2 0 | 51.03 | 1.790 | 393 |

8.
The following is a simulated powder diffractogram of LuCr2O2. It was derived from a structure optimized by DFT (GGA+U), using Cu Kα (weighted mean of Kα1 and Kα2).
Intensities are scaled so that the largest is 1000.

Atomic structure:
```
data_LuCr2O2
_chemical_formula_sum 'Lu8 Cr16 O16'
_cell_length_a 8.9483
_cell_length_b 8.9483
_cell_length_c 9.4013
_cell_angle_alpha 90.00
_cell_angle_beta 90.00
_cell_angle_gamma 90.00
_space_group_name_H-M_alt 'I 41/a m d'
_space_group_IT_number 141
loop_
_space_group_symop_operation_xyz
'x,y,z'
'-x,-y,-z'
'-y+1/4,x+3/4,z+1/4'
'y+1/4,-x+3/4,-z+1/4'
'-x+1/2,-y,z+1/2'
'x+1/2,y,-z+1/2'
'y+1/4,-x+1/4,z+3/4'
'-y+1/4,x+1/4,-z+3/4'
'x,-y,-z'
'-x,y,z'
'-y+1/4,-x+1/4,-z+3/4'
'y+1/4,x+1/4,z+3/4'
'-x+1/2,y,-z+1/2'
'x+1/2,-y,z+1/2'
'y+1/4,x+3/4,-z+1/4'
'-y+1/4,-x+3/4,z+1/4'
'x+1/2,y+1/2,z+1/2'
'-x+1/2,-y+1/2,-z+1/2'
'-y+3/4,x+1/4,z+3/4'
'y+3/4,-x+1/4,-z+3/4'
'-x,-y+1/2,z'
'x,y+1/2,-z'
'y+3/4,-x+3/4,z+1/4'
'-y+3/4,x+3/4,-z+1/4'
'x+1/2,-y+1/2,-z+1/2'
'-x+1/2,y+1/2,z+1/2'
'-y+3/4,-x+3/4,-z+1/4'
'y+3/4,x+3/4,z+1/4'
'-x,y+1/2,-z'
'x,-y+1/2,z'
'y+3/4,x+1/4,-z+3/4'
'-y+3/4,-x+1/4,z+3/4'
loop_
_atom_site_label
_atom_site_type_symbol
_atom_site_fract_x
_atom_site_fract_y
_atom_site_fract_z
Lu1 Lu 0.0000 0.0000 0.0000
Cr1 Cr 0.0000 0.0556 0.6454
O1 O 0.0000 0.0989 0.2000
```

Principal peaks in the range 2θ from 10° to 90°, sorted by position:
| hkl | Position (°2θ) | d_spacing | I (rel.) |
| --- | --- | --- | --- |
| 1 0 1 | 13.66 | 6.482 | 587 |
| 2 0 2 | 27.52 | 3.241 | 492 |
| 2 2 0 | 28.21 | 3.164 | 1000 |
| 2 1 3 | 36.41 | 2.467 | 501 |
| 4 0 0 | 40.32 | 2.237 | 305 |
| 4 2 2 | 49.51 | 1.841 | 380 |

9.
The following is a simulated powder diffractogram of Mn3O2F4. It was derived from a structure optimized by DFT (GGA+U), using Cu Kα (weighted mean of Kα1 and Kα2).
Intensities are scaled so that the largest is 1000.

Atomic structure:
```
data_Mn3O2F4
_chemical_formula_sum 'Mn6 O4 F8'
_cell_length_a 4.7802
_cell_length_b 4.6685
_cell_length_c 9.8246
_cell_angle_alpha 90.00
_cell_angle_beta 90.53
_cell_angle_gamma 90.00
_space_group_name_H-M_alt 'P 1 21 1'
_space_group_IT_number 4
loop_
_space_group_symop_operation_xyz
'x,y,z'
'-x,y+1/2,-z'
loop_
_atom_site_label
_atom_site_type_symbol
_atom_site_fract_x
_atom_site_fract_y
_atom_site_fract_z
Mn1 Mn 0.2081 0.9997 0.0757
Mn2 Mn 0.2098 0.0000 0.4247
Mn3 Mn 0.2547 0.9655 0.7504
O1 O 0.0534 0.8050 0.9254
O2 O 0.0595 0.8037 0.5790
F1 F 0.0192 0.8105 0.2489
F2 F 0.3967 0.1812 0.2467
F3 F 0.4785 0.2114 0.5880
F4 F 0.4825 0.2160 0.9140
```

Principal peaks in the range 2θ from 10° to 90°, sorted by position:
| hkl | Position (°2θ) | d_spacing | I (rel.) |
| --- | --- | --- | --- |
| 1 1 0 | 26.69 | 3.340 | 1000 |
| 1 0 -3 | 33.01 | 2.713 | 164 |
| 1 0 3 | 33.31 | 2.690 | 155 |
| 0 1 3 | 33.42 | 2.681 | 306 |
| 1 1 3 | 38.62 | 2.332 | 156 |
| 2 2 0 | 54.99 | 1.670 | 174 |

10.
The following is a simulated powder diffractogram of NaLi2FePCO7. It was derived from a structure optimized by DFT (GGA+U), using Cu Kα (weighted mean of Kα1 and Kα2).
Intensities are scaled so that the largest is 1000.

Atomic structure:
```
data_NaLi2FePCO7
_chemical_formula_sum 'Na2 Li4 Fe2 P2 C2 O14'
_cell_length_a 5.1056
_cell_length_b 6.6177
_cell_length_c 8.6051
_cell_angle_alpha 90.00
_cell_angle_beta 95.39
_cell_angle_gamma 90.00
_space_group_name_H-M_alt 'P 1 21 1'
_space_group_IT_number 4
loop_
_space_group_symop_operation_xyz
'x,y,z'
'-x,y+1/2,-z'
loop_
_atom_site_label
_atom_site_type_symbol
_atom_site_fract_x
_atom_site_fract_y
_atom_site_fract_z
Na1 Na 0.2339 0.0000 0.2608
Li1 Li 0.2323 0.4714 0.2784
Li2 Li 0.2830 0.7549 0.8968
Fe1 Fe 0.2889 0.2341 0.6627
P1 P 0.2250 0.7390 0.5897
C1 C 0.1887 0.2491 0.9588
O1 O 0.0143 0.2227 0.8388
O2 O 0.0797 0.2655 0.4366
O3 O 0.1117 0.2716 0.0967
O4 O 0.2919 0.5521 0.6968
O5 O 0.3389 0.7217 0.4305
O6 O 0.3461 0.9201 0.6888
O7 O 0.4357 0.2514 0.9338
```

Principal peaks in the range 2θ from 10° to 90°, sorted by position:
| hkl | Position (°2θ) | d_spacing | I (rel.) |
| --- | --- | --- | --- |
| 0 0 1 | 10.33 | 8.567 | 1000 |
| 1 0 1 | 21.14 | 4.202 | 420 |
| 1 0 -2 | 25.91 | 3.438 | 326 |
| 0 2 0 | 26.95 | 3.309 | 838 |
| 1 0 -3 | 34.52 | 2.598 | 397 |
| 2 0 -1 | 35.90 | 2.501 | 322 |